Diffraction record for Sm2Dy12Th5. The X-ray diffraction stick pattern is theoretical, not measured: it uses a structure optimized by DFT (GGA-PBE) and Cu Kα.
Lines closer than 0.1° are merged.

Principal peaks in the range 10 to 80 degrees two-theta, in order of falling intensity:
two_theta, I (rel.)
32.19, 100
30.83, 80
32.50, 56
31.83, 31
26.97, 22
44.88, 22
34.85, 20
55.65, 19

Atomic structure:
```
Sm2Dy12Th5
1.0
6.388 -5.807 0.000
6.388 5.807 0.000
-4.286 0.000 8.363
Sm Dy Th
2 12 5
direct
0.215 0.785 0.000
0.785 0.215 0.000
0.031 0.552 0.194
0.068 0.068 0.783
0.144 0.656 0.597
0.344 0.856 0.403
0.395 0.395 0.076
0.448 0.969 0.806
0.552 0.031 0.194
0.605 0.605 0.924
0.656 0.144 0.597
0.856 0.344 0.403
0.932 0.932 0.217
0.969 0.448 0.806
0.203 0.203 0.246
0.275 0.275 0.632
0.500 0.500 0.500
0.725 0.725 0.368
0.797 0.797 0.754
```